No. 1
Ho2MgV2O8: simulated powder diffractogram (a wavelength of 1.5418 Å), based on the PBE+U geometry in the Materials Project.
No peak broadening, texture or thermal motion is included.

Most intense lines, 10° ≤ 2θ ≤ 90°, in order of rising 2θ:
| 2θ (°) | intensity |
| --- | --- |
| 18.3 | 52.9 |
| 24.2 | 100.0 |
| 30.8 | 18.3 |
| 32.5 | 48.2 |
| 32.8 | 34.2 |
| 33.8 | 16.3 |
| 39.3 | 24.2 |
| 47.8 | 16.2 |
| 48.5 | 31.6 |
| 49.5 | 17.1 |

Structural model:
```
data_Ho2MgV2O8
_cell_length_a 6.0589
_cell_length_b 6.0589
_cell_length_c 6.1980
_cell_angle_alpha 106.07
_cell_angle_beta 106.07
_cell_angle_gamma 115.56
_space_group_name_H-M_alt 'P 1'
_space_group_IT_number 1
loop_
_space_group_symop_operation_xyz
'x,y,z'
loop_
_atom_site_label
_atom_site_fract_x
_atom_site_fract_y
_atom_site_fract_z
Ho1 0.0000 0.0000 0.0000
Ho2 0.7178 0.2822 0.5000
Mg1 0.0114 0.9886 0.5000
V1 0.2766 0.7234 0.5000
V2 0.4934 0.5066 0.0000
O1 0.0593 0.3615 0.3185
O2 0.0606 0.7636 0.6628
O3 0.1247 0.3141 0.7901
O4 0.2364 0.9394 0.3372
O5 0.4780 0.3212 0.1843
O6 0.6385 0.9407 0.6815
O7 0.6788 0.5220 0.8157
O8 0.6859 0.8753 0.2099
```


No. 2
Na2VPCO7: simulated powder diffractogram (a wavelength of 1.5418 Å), based on the PBE+U geometry in the Materials Project.
No peak broadening, texture or thermal motion is included.

Most intense lines, 10° ≤ 2θ ≤ 90°, in order of rising 2θ:
| 2θ (°) | intensity |
| --- | --- |
| 16.8 | 36.4 |
| 19.0 | 54.1 |
| 19.7 | 60.8 |
| 27.4 | 100.0 |
| 29.9 | 32.9 |
| 33.6 | 80.7 |
| 34.0 | 50.7 |
| 37.7 | 27.7 |
| 41.0 | 21.7 |
| 56.6 | 22.6 |

Structural model:
```
data_Na2VPCO7
_cell_length_a 8.4066
_cell_length_b 8.4074
_cell_length_c 10.2537
_cell_angle_alpha 107.76
_cell_angle_beta 107.76
_cell_angle_gamma 101.31
_space_group_name_H-M_alt 'P 1'
_space_group_IT_number 1
loop_
_space_group_symop_operation_xyz
'x,y,z'
loop_
_atom_site_label
_atom_site_fract_x
_atom_site_fract_y
_atom_site_fract_z
Na1 0.0000 0.0000 0.0000
Na2 0.0474 0.2798 0.8077
Na3 0.1120 0.6117 0.1665
Na4 0.3319 0.0643 0.3586
Na5 0.4999 0.4993 0.9997
Na6 0.5473 0.7792 0.8077
Na7 0.6115 0.1113 0.1663
Na8 0.8320 0.5639 0.3586
V1 0.1078 0.6340 0.7452
V2 0.4773 0.5037 0.4209
V3 0.6075 0.1339 0.7454
V4 0.9775 0.0039 0.4210
P1 0.2455 0.7661 0.5085
P2 0.3454 0.3661 0.6577
P3 0.7453 0.2660 0.5084
P4 0.8453 0.8661 0.6578
C1 0.2865 0.8036 0.0165
C2 0.3078 0.3249 0.1497
C3 0.7866 0.3038 0.0166
C4 0.8076 0.8248 0.1498
O1 0.1191 0.6555 0.5543
O2 0.1375 0.8459 0.4069
O3 0.1438 0.6671 0.9662
O4 0.2020 0.2117 0.5190
O5 0.2096 0.2429 0.0131
O6 0.2659 0.4745 0.7593
O7 0.2806 0.2782 0.2545
O8 0.3115 0.6436 0.4042
O9 0.3332 0.8308 0.9117
O10 0.3684 0.9018 0.1531
O11 0.3999 0.9093 0.6473
O12 0.4442 0.4677 0.1999
O13 0.4559 0.4923 0.6116
O14 0.4679 0.3001 0.7621
O15 0.6191 0.1557 0.5546
O16 0.6370 0.3454 0.4068
O17 0.6437 0.1677 0.9667
O18 0.7022 0.7114 0.5192
O19 0.7093 0.7424 0.0133
O20 0.7656 0.9741 0.7594
O21 0.7809 0.7783 0.2548
O22 0.8111 0.1433 0.4041
O23 0.8331 0.3304 0.9114
O24 0.8691 0.4023 0.1530
O25 0.8999 0.4093 0.6469
O26 0.9438 0.9676 0.1998
O27 0.9557 0.9926 0.6118
O28 0.9683 0.8005 0.7623
```